# EuZn
Computed powder diffractogram, Cu Kα, 1.54184 Å. Input: DFT lattice parameters and positions (GGA-PBE).
Lines closer than 0.1° are merged.

Structure:
```
EuZn
1.0
3.7663 0.0000 0.0000
0.0000 3.7663 0.0000
0.0000 0.0000 3.7663
Eu Zn
1 1
direct
0.0000 0.0000 0.0000
0.5000 0.5000 0.5000
```

Principal peaks in the range 10° ≤ 2θ ≤ 80°, by angle:
2θ/deg  d [Å]  intensity
23.62  3.766  16
33.65  2.663  100
41.53  2.174  5
48.33  1.883  18
54.48  1.684  7
60.18  1.538  37
70.75  1.332  11
75.77  1.255  3